1.
# InSb2S4Br
Theoretical XRD peak list, copper Kα. Input: a crystal structure in the Materials Project, relaxed with GGA-PBE.
Neutral-atom scattering factors, no anomalous dispersion.

Crystal structure
```
data_InSb2S4Br
_symmetry_space_group_name_H-M 'C 1 2/m 1'
_symmetry_Int_Tables_number 12
_symmetry_space_group_name_Hall '-C 2y'
_cell_length_a 20.659
_cell_length_b 3.913
_cell_length_c 12.139
_cell_angle_alpha 90.00
_cell_angle_beta 120.35
_cell_angle_gamma 90.00
loop_
_atom_site_label
_atom_site_fract_x
_atom_site_fract_y
_atom_site_fract_z
In1 0.164 0.000 0.434
Sb1 0.048 0.500 0.784
Sb2 0.207 0.000 0.094
S1 0.034 0.000 0.214
S2 0.104 0.500 0.023
S3 0.181 0.000 0.870
S4 0.212 0.500 0.351
Br1 0.102 0.500 0.527
```

Most intense lines, 2θ from 10° to 80°, in order of falling intensity:
hkl 5 1 -2, 2θ = 31.8°, intensity 100.0
hkl 2 0 -2, 2θ = 14.7°, intensity 75.2
hkl 4 0 1, 2θ = 25.4°, intensity 55.5
hkl 5 1 -3, 2θ = 34.1°, intensity 49.6
hkl 3 1 0, 2θ = 27.3°, intensity 45.2
hkl 5 1 0, 2θ = 34.0°, intensity 39.1

---

2.
# LaPdO4
Theoretical XRD peak list, copper Kα. Input: a crystal structure in the Materials Project, relaxed with GGA-PBE.
Neutral-atom scattering factors, no anomalous dispersion.

Crystal structure
```
data_LaPdO4
_symmetry_space_group_name_H-M 'R -3 m'
_symmetry_Int_Tables_number 166
_symmetry_space_group_name_Hall '-R 3 2"'
_cell_length_a 3.8577
_cell_length_b 3.8577
_cell_length_c 18.0128
_cell_angle_alpha 90.00
_cell_angle_beta 90.00
_cell_angle_gamma 120.00
loop_
_atom_site_label
_atom_site_fract_x
_atom_site_fract_y
_atom_site_fract_z
La1 0.0000 0.0000 0.0000
Pd1 0.0000 0.0000 0.5000
O1 0.0000 0.0000 0.1559
O2 0.0000 0.0000 0.3881
```

Most intense lines, 2θ from 10° to 80°, in order of falling intensity:
hkl 0 1 2, 2θ = 28.5°, intensity 100.0
hkl 1 0 4, 2θ = 33.4°, intensity 41.5
hkl 1 1 0, 2θ = 47.1°, intensity 41.0
hkl 0 0 6, 2θ = 29.8°, intensity 35.8
hkl 1 1 6, 2θ = 56.7°, intensity 33.3
hkl 0 1 8, 2θ = 48.8°, intensity 28.7

---

3.
# Te3As2O11
Theoretical XRD peak list, copper Kα. Input: a crystal structure in the Materials Project, relaxed with GGA-PBE.
Neutral-atom scattering factors, no anomalous dispersion.

Crystal structure
```
data_Te3As2O11
_symmetry_space_group_name_H-M 'P -1'
_symmetry_Int_Tables_number 2
_symmetry_space_group_name_Hall '-P 1'
_cell_length_a 6.683
_cell_length_b 7.839
_cell_length_c 10.663
_cell_angle_alpha 68.45
_cell_angle_beta 89.79
_cell_angle_gamma 77.51
loop_
_atom_site_label
_atom_site_fract_x
_atom_site_fract_y
_atom_site_fract_z
Te1 0.187 0.271 0.478
Te2 0.267 0.450 0.159
Te3 0.293 0.837 0.200
As1 0.185 0.207 0.888
As2 0.311 0.780 0.606
O1 0.025 0.085 0.847
O2 0.056 0.424 0.885
O3 0.149 0.671 0.555
O4 0.177 0.003 0.595
O5 0.203 0.217 0.317
O6 0.242 0.538 0.311
O7 0.298 0.092 0.054
O8 0.329 0.717 0.072
O9 0.371 0.221 0.775
O10 0.414 0.662 0.770
O11 0.494 0.807 0.487
```

Most intense lines, 2θ from 10° to 80°, in order of falling intensity:
hkl 2 0 0, 2θ = 27.4°, intensity 100.0
hkl 0 2 1, 2θ = 23.2°, intensity 90.4
hkl 0 1 2, 2θ = 17.6°, intensity 89.1
hkl 0 0 3, 2θ = 27.1°, intensity 57.8
hkl 1 0 -2, 2θ = 21.7°, intensity 42.9
hkl 1 2 5, 2θ = 44.9°, intensity 37.1

---

4.
# MgZn5N4
Theoretical XRD peak list, copper Kα. Input: a crystal structure in the Materials Project, relaxed with GGA-PBE.
Neutral-atom scattering factors, no anomalous dispersion.

Crystal structure
```
data_MgZn5N4
_symmetry_space_group_name_H-M 'P m m n'
_symmetry_Int_Tables_number 59
_cell_length_a 6.652
_cell_length_b 7.372
_cell_length_c 4.965
_cell_angle_alpha 90.00
_cell_angle_beta 90.00
_cell_angle_gamma 90.00
loop_
_symmetry_equiv_pos_as_xyz
'x,y,z'
'-x,-y,-z'
'-x+1/2,-y+1/2,z'
'x+1/2,y+1/2,-z'
'x+1/2,-y,-z'
'-x+1/2,y,z'
'-x,y+1/2,-z'
'x,-y+1/2,z'
loop_
_atom_site_label
_atom_site_fract_x
_atom_site_fract_y
_atom_site_fract_z
Mg1 0.250 0.250 0.225
Zn1 0.000 0.067 0.752
Zn2 0.250 0.750 0.763
N1 0.001 0.250 0.462
N2 0.250 0.001 0.001
```

Most intense lines, 2θ from 10° to 80°, in order of falling intensity:
hkl 0 3 1, 2θ = 41.0°, intensity 100.0
hkl 2 1 1, 2θ = 34.7°, intensity 97.7
hkl 2 2 2, 2θ = 52.3°, intensity 73.4
hkl 0 0 2, 2θ = 36.2°, intensity 55.3
hkl 2 2 0, 2θ = 36.4°, intensity 55.0
hkl 2 0 0, 2θ = 26.8°, intensity 39.9

---

5.
# CaP3NO9
Theoretical XRD peak list, copper Kα. Input: a crystal structure in the Materials Project, relaxed with GGA-PBE.
Neutral-atom scattering factors, no anomalous dispersion.

Crystal structure
```
data_CaP3NO9
_symmetry_space_group_name_H-M 'P -6 c 2'
_symmetry_Int_Tables_number 188
_symmetry_space_group_name_Hall 'P -6c 2'
_cell_length_a 6.9720
_cell_length_b 6.9720
_cell_length_c 10.8655
_cell_angle_alpha 90.00
_cell_angle_beta 90.00
_cell_angle_gamma 120.00
loop_
_atom_site_label
_atom_site_fract_x
_atom_site_fract_y
_atom_site_fract_z
Ca1 0.0000 0.0000 0.0000
P1 0.3972 0.1151 0.2500
N1 0.3333 0.6667 0.0000
O1 0.2750 0.0172 0.1324
O2 0.4828 0.1050 0.7500
```

Most intense lines, 2θ from 10° to 80°, in order of falling intensity:
hkl 1 0 2, 2θ = 22.0°, intensity 100.0
hkl 1 0 0, 2θ = 14.7°, intensity 62.1
hkl 1 1 1, 2θ = 26.9°, intensity 58.4
hkl 1 1 2, 2θ = 30.5°, intensity 49.1
hkl 0 0 2, 2θ = 16.3°, intensity 46.9
hkl 2 1 4, 2θ = 52.4°, intensity 21.8

---

6.
# NaLaMg6
Theoretical XRD peak list, copper Kα. Input: a crystal structure in the Materials Project, relaxed with GGA-PBE.
Neutral-atom scattering factors, no anomalous dispersion.

Crystal structure
```
data_NaLaMg6
_symmetry_space_group_name_H-M 'A m m 2'
_symmetry_Int_Tables_number 38
_symmetry_space_group_name_Hall 'A 2 -2'
_cell_length_a 5.319
_cell_length_b 6.775
_cell_length_c 11.844
_cell_angle_alpha 90.00
_cell_angle_beta 90.00
_cell_angle_gamma 90.00
loop_
_atom_site_label
_atom_site_fract_x
_atom_site_fract_y
_atom_site_fract_z
Na1 0.000 0.000 0.000
La1 0.500 0.000 0.176
Mg1 0.000 0.000 0.507
Mg2 0.000 0.245 0.760
Mg3 0.500 0.000 0.678
Mg4 0.500 0.249 0.921
```

Most intense lines, 2θ from 10° to 80°, in order of falling intensity:
hkl 1 2 2, 2θ = 34.9°, intensity 100.0
hkl 1 1 1, 2θ = 22.5°, intensity 75.0
hkl 0 1 1, 2θ = 15.1°, intensity 55.6
hkl 1 0 4, 2θ = 34.7°, intensity 49.0
hkl 2 0 0, 2θ = 33.7°, intensity 34.8
hkl 0 2 2, 2θ = 30.4°, intensity 30.8

---

7.
# Ce2U2O9
Theoretical XRD peak list, copper Kα. Input: a crystal structure in the Materials Project, relaxed with GGA-PBE.
Neutral-atom scattering factors, no anomalous dispersion.

Crystal structure
```
data_Ce2U2O9
_symmetry_space_group_name_H-M 'I 4/m m m'
_symmetry_Int_Tables_number 139
_symmetry_space_group_name_Hall '-I 4 2'
_cell_length_a 5.430
_cell_length_b 5.430
_cell_length_c 10.802
_cell_angle_alpha 90.00
_cell_angle_beta 90.00
_cell_angle_gamma 90.00
loop_
_atom_site_label
_atom_site_fract_x
_atom_site_fract_y
_atom_site_fract_z
Ce1 0.000 0.000 0.232
U1 0.000 0.500 0.000
O1 0.000 0.000 0.000
O2 0.234 0.234 0.376
```

Most intense lines, 2θ from 10° to 80°, in order of falling intensity:
hkl 1 1 2, 2θ = 28.5°, intensity 100.0
hkl 2 0 4, 2θ = 47.5°, intensity 35.2
hkl 3 1 2, 2θ = 56.2°, intensity 31.2
hkl 2 0 0, 2θ = 33.0°, intensity 26.0
hkl 2 2 0, 2θ = 47.3°, intensity 18.8
hkl 1 1 6, 2θ = 56.5°, intensity 13.3